Structure and theoretical PXRD pattern of Li2VCl6 (a DFT-relaxed cell (GGA-PBE, Alexandria); copper Kα).
Intensities are scaled so that the largest is 100.

Largest 10 diffraction maxima, by angle, 2θ = 10–90°:
2theta  d [Å]  I_rel  hkl
16.12  5.499  18  0 0 2
16.98  5.223  58  1 0 1
21.17  4.196  28  1 1 0
30.12  2.967  22  2 0 0
32.43  2.761  100  1 1 3
33.77  2.654  30  2 1 0
42.03  2.150  29  2 1 3
43.12  2.098  23  2 2 0
52.57  1.741  28  3 0 3
54.98  1.670  16  3 1 3

Structure:
a = 5.934 Å, b = 5.934 Å, c = 10.998 Å
α = 90.00°, β = 90.00°, γ = 90.00°
Space group P4_2/mnm (No. 136)
Asymmetric unit:
Li (0.000, 0.000, 0.172) [4 per cell]
V (0.000, 0.000, 0.500) [2 per cell]
Cl (0.192, 0.192, 0.346) [8 per cell]
Cl (0.224, 0.224, 0.000) [4 per cell]

Structure and theoretical PXRD pattern of Li6VCl8 (a DFT-relaxed cell (GGA-PBE, Alexandria); copper Kα).
Intensities are scaled so that the largest is 100.

Largest 10 diffraction maxima, by angle, 2θ = 10–90°:
2theta  d [Å]  I_rel  hkl
14.85  5.964  36  1 1 1
28.66  3.115  11  3 1 1
29.96  2.982  66  2 2 2
34.73  2.583  100  4 0 0
45.63  1.988  8  5 1 1
49.94  1.826  62  4 4 0
59.34  1.557  19  6 2 2
62.26  1.491  20  4 4 4
73.31  1.291  9  8 0 0
83.74  1.155  24  8 4 0

Structure:
a = 10.331 Å, b = 10.331 Å, c = 10.331 Å
α = 90.00°, β = 90.00°, γ = 90.00°
Space group Fm-3m (No. 225)
Asymmetric unit:
Li (0.000, 0.250, 0.250) [24 per cell]
V (0.000, 0.000, 0.000) [4 per cell]
Cl (0.000, 0.000, 0.241) [24 per cell]
Cl (0.250, 0.250, 0.250) [8 per cell]

Structure and theoretical PXRD pattern of LiV2Cl (a DFT-relaxed cell (GGA-PBE, Alexandria); copper Kα).
Intensities are scaled so that the largest is 100.

Largest 10 diffraction maxima, by angle, 2θ = 10–90°:
2theta  d [Å]  I_rel  hkl
19.78  4.488  22  0 0 4
22.47  3.956  100  1 0 1
32.78  2.732  14  1 1 2
40.18  2.244  19  0 0 8
41.67  2.168  17  1 0 7
45.88  1.978  24  2 0 2
52.74  1.736  17  2 1 3
54.68  1.679  14  2 0 6
56.87  1.619  13  2 1 5
68.72  1.366  12  2 2 4

Structure:
a = 4.056 Å, b = 4.056 Å, c = 17.953 Å
α = 90.00°, β = 90.00°, γ = 90.00°
Space group I-42d (No. 122)
Asymmetric unit:
Li (0.000, 0.000, 0.000) [4 per cell]
V (0.026, 0.250, 0.625) [8 per cell]
Cl (0.000, 0.000, 0.500) [4 per cell]